Simulated powder XRD pattern of CuSbBr2 for Cu Kα, from a structure optimized by DFT (GGA-PBE).
Peak positions follow from Bragg's law for the DFT cell and can differ from measured ones.

Most intense lines, 2θ = 15–90°, low angle first:
d/Å  Position (°2θ)  Rel. int.
5.724  15.48  29
3.469  25.68  67
3.009  29.69  37
2.911  30.72  100
2.759  32.45  62
2.547  35.24  28
2.477  36.27  36
2.225  40.55  39
2.175  41.52  28
2.074  43.64  42

Lattice parameters (Å, degrees): 5.239 3.537 5.856 90.00 102.21 90.00
Fractional positions:
1 Cu 0.000 0.000 0.000
2 Sb 0.695 0.500 0.733
3 Br 0.358 0.500 0.056
4 Br 0.986 0.000 0.433



Simulated powder XRD pattern of CuSbBr2 for Cu Kα, from a structure optimized by DFT (GGA-PBE).
Peak positions follow from Bragg's law for the DFT cell and can differ from measured ones.

Most intense lines, 2θ = 15–90°, low angle first:
d/Å  Position (°2θ)  Rel. int.
2.997  29.81  100
2.844  31.46  17
2.526  35.53  61
2.375  37.88  13
1.978  45.88  37
1.932  47.04  41
1.889  48.18  12
1.624  56.69  19
1.535  60.31  13
1.243  76.66  12

Lattice parameters (Å, degrees): 3.864 3.864 26.971 90.00 90.00 120.00
Fractional positions:
1 Cu 0.000 0.000 0.000
2 Cu 0.333 0.667 0.667
3 Cu 0.667 0.333 0.333
4 Sb 0.000 0.000 0.274
5 Sb 0.333 0.667 0.941
6 Sb 0.667 0.333 0.608
7 Br 0.000 0.000 0.534
8 Br 0.000 0.000 0.716
9 Br 0.333 0.667 0.201
10 Br 0.333 0.667 0.382
11 Br 0.667 0.333 0.049
12 Br 0.667 0.333 0.868



Simulated powder XRD pattern of CuSe3Br for Cu Kα, from a structure optimized by DFT (GGA-PBE).
Peak positions follow from Bragg's law for the DFT cell and can differ from measured ones.

Most intense lines, 2θ = 15–90°, low angle first:
d/Å  Position (°2θ)  Rel. int.
5.051  17.56  36
4.202  21.14  32
4.036  22.02  51
3.172  28.13  69
3.030  29.48  57
2.745  32.62  100
2.709  33.07  27
2.238  40.30  30
2.072  43.68  29
1.999  45.37  39

Lattice parameters (Å, degrees): 14.505 5.051 7.574 90.00 90.00 90.00
Fractional positions:
1 Cu 0.250 0.212 0.250
2 Cu 0.250 0.788 0.750
3 Cu 0.750 0.212 0.250
4 Cu 0.750 0.788 0.750
5 Se 0.000 0.196 0.238
6 Se 0.000 0.804 0.762
7 Se 0.126 0.065 0.657
8 Se 0.126 0.935 0.343
9 Se 0.374 0.065 0.843
10 Se 0.374 0.935 0.157
11 Se 0.500 0.196 0.262
12 Se 0.500 0.804 0.738
13 Se 0.626 0.065 0.843
14 Se 0.626 0.935 0.157
15 Se 0.874 0.065 0.657
16 Se 0.874 0.935 0.343
17 Br 0.193 0.500 0.000
18 Br 0.307 0.500 0.500
19 Br 0.693 0.500 0.500
20 Br 0.807 0.500 0.000



Simulated powder XRD pattern of Cu3Se2Br3 for Cu Kα, from a structure optimized by DFT (GGA-PBE).
Peak positions follow from Bragg's law for the DFT cell and can differ from measured ones.

Most intense lines, 2θ = 15–90°, low angle first:
d/Å  Position (°2θ)  Rel. int.
5.376  16.49  79
4.860  18.25  71
3.934  22.60  65
3.221  27.69  100
2.804  31.91  64
2.522  35.59  66
2.370  37.97  57
2.240  40.27  62
1.950  46.58  68
1.770  51.64  67

Lattice parameters (Å, degrees): 9.882 9.882 12.906 90.00 90.00 159.30
Fractional positions:
1 Cu 0.126 0.874 0.750
2 Cu 0.342 0.658 0.006
3 Cu 0.342 0.658 0.494
4 Cu 0.658 0.342 0.506
5 Cu 0.658 0.342 0.994
6 Cu 0.874 0.126 0.250
7 Se 0.203 0.797 0.610
8 Se 0.203 0.797 0.890
9 Se 0.797 0.203 0.110
10 Se 0.797 0.203 0.390
11 Br 0.106 0.894 0.092
12 Br 0.106 0.894 0.408
13 Br 0.458 0.542 0.250
14 Br 0.542 0.458 0.750
15 Br 0.894 0.106 0.592
16 Br 0.894 0.106 0.908